Entry 1:
For Nd2GeBr, a structure optimized by DFT (PBE) gives the simulated PXRD pattern in this record (Cu Ka).

Atomic structure:
```
data_Nd2GeBr
_chemical_formula_sum 'Nd8 Ge4 Br4'
_symmetry_space_group_name_H-M 'P 1'
_symmetry_Int_Tables_number 1
_symmetry_space_group_name_Hall 'P 1'
_cell_length_a 7.7708
_cell_length_b 4.1244
_cell_length_c 14.4119
_cell_angle_alpha 90.00
_cell_angle_beta 90.00
_cell_angle_gamma 90.00
loop_
_atom_site_label
_atom_site_fract_x
_atom_site_fract_y
_atom_site_fract_z
_atom_site_occupancy
Nd1 0.1529 0.2500 0.2374 1
Nd2 0.1947 0.7500 0.9927 1
Nd3 0.3053 0.2500 0.4927 1
Nd4 0.3471 0.7500 0.7374 1
Nd5 0.6529 0.2500 0.2626 1
Nd6 0.6947 0.7500 0.5073 1
Nd7 0.8053 0.2500 0.0073 1
Nd8 0.8471 0.7500 0.7626 1
Ge1 0.0851 0.2500 0.8501 1
Ge2 0.4149 0.7500 0.3501 1
Ge3 0.5851 0.2500 0.6499 1
Ge4 0.9149 0.7500 0.1499 1
Br1 0.0755 0.7500 0.5930 1
Br2 0.4245 0.2500 0.0930 1
Br3 0.5755 0.7500 0.9070 1
Br4 0.9245 0.2500 0.4070 1
```

Largest 8 diffraction maxima, by angle, 2θ = 10–80°:
- 22.42°, I = 36
- 27.43°, I = 30
- 29.57°, I = 52
- 30.80°, I = 75
- 33.93°, I = 33
- 34.06°, I = 100
- 38.09°, I = 33
- 43.90°, I = 33

Entry 2:
For Pa3Ge4, a structure optimized by DFT (PBE) gives the simulated PXRD pattern in this record (Cu Ka).

Atomic structure:
```
data_Pa3Ge4
_chemical_formula_sum 'Pa6 Ge8'
_symmetry_space_group_name_H-M 'P 1'
_symmetry_Int_Tables_number 1
_symmetry_space_group_name_Hall 'P 1'
_cell_length_a 5.7638
_cell_length_b 5.7638
_cell_length_c 14.4313
_cell_angle_alpha 90.00
_cell_angle_beta 90.00
_cell_angle_gamma 139.86
loop_
_atom_site_label
_atom_site_fract_x
_atom_site_fract_y
_atom_site_fract_z
_atom_site_occupancy
Pa1 0.0419 0.9581 0.5000 1
Pa2 0.3301 0.6699 0.3495 1
Pa3 0.3298 0.6702 0.6507 1
Pa4 0.6702 0.3298 0.1507 1
Pa5 0.6699 0.3301 0.8495 1
Pa6 0.9581 0.0419 0.0000 1
Ge1 0.9999 0.0001 0.2499 1
Ge2 0.0001 0.9999 0.7499 1
Ge3 0.2260 0.7740 0.0001 1
Ge4 0.3840 0.6160 0.1434 1
Ge5 0.3837 0.6163 0.8567 1
Ge6 0.6163 0.3837 0.3567 1
Ge7 0.6160 0.3840 0.6434 1
Ge8 0.7740 0.2260 0.5001 1
```

Largest 8 diffraction maxima, by angle, 2θ = 10–80°:
- 24.75°, I = 41
- 26.99°, I = 27
- 29.76°, I = 24
- 30.40°, I = 30
- 33.64°, I = 100
- 34.65°, I = 78
- 38.61°, I = 23
- 45.88°, I = 29

Entry 3:
For Ho3B4C4, a structure optimized by DFT (PBE) gives the simulated PXRD pattern in this record (Cu Ka).

Atomic structure:
```
data_Ho3B4C4
_chemical_formula_sum 'Ho3 B4 C4'
_symmetry_space_group_name_H-M 'P 1'
_symmetry_Int_Tables_number 1
_symmetry_space_group_name_Hall 'P 1'
_cell_length_a 8.6425
_cell_length_b 5.2795
_cell_length_c 5.2795
_cell_angle_alpha 31.93
_cell_angle_beta 90.00
_cell_angle_gamma 90.00
loop_
_atom_site_label
_atom_site_fract_x
_atom_site_fract_y
_atom_site_fract_z
_atom_site_occupancy
Ho1 0.0000 0.0000 0.0000 1
Ho2 0.2941 0.2627 0.2627 1
Ho3 0.7059 0.2627 0.2627 1
B1 0.0000 0.2656 0.2656 1
B2 0.3225 0.0028 0.0028 1
B3 0.5000 0.6426 0.6426 1
B4 0.6775 0.0028 0.0028 1
C1 0.0000 0.7397 0.7397 1
C2 0.2399 0.5016 0.5016 1
C3 0.5000 0.0745 0.0745 1
C4 0.7601 0.5016 0.5016 1
```

Largest 8 diffraction maxima, by angle, 2θ = 10–80°:
- 20.29°, I = 61
- 27.10°, I = 100
- 31.04°, I = 40
- 32.06°, I = 51
- 35.37°, I = 46
- 38.38°, I = 62
- 40.95°, I = 34
- 46.24°, I = 28

Entry 4:
For Cs2GaSnTe4, a structure optimized by DFT (PBE) gives the simulated PXRD pattern in this record (Cu Ka).

Atomic structure:
```
data_Cs2GaSnTe4
_chemical_formula_sum 'Cs4 Ga2 Sn2 Te8'
_symmetry_space_group_name_H-M 'P 1'
_symmetry_Int_Tables_number 1
_symmetry_space_group_name_Hall 'P 1'
_cell_length_a 15.5097
_cell_length_b 13.8109
_cell_length_c 8.6112
_cell_angle_alpha 84.13
_cell_angle_beta 62.35
_cell_angle_gamma 33.52
loop_
_atom_site_label
_atom_site_fract_x
_atom_site_fract_y
_atom_site_fract_z
_atom_site_occupancy
Cs1 0.0588 0.0588 0.6912 1
Cs2 0.3088 0.3088 0.9412 1
Cs3 0.6912 0.6912 0.0588 1
Cs4 0.9412 0.9412 0.3088 1
Ga1 0.3750 0.3750 0.3750 1
Ga2 0.6250 0.6250 0.6250 1
Sn1 0.1250 0.1250 0.1250 1
Sn2 0.8750 0.8750 0.8750 1
Te1 0.0079 0.3597 0.4368 1
Te2 0.3044 0.5632 0.6403 1
Te3 0.3597 0.0079 0.6956 1
Te4 0.4368 0.6956 0.0079 1
Te5 0.5632 0.3044 0.9921 1
Te6 0.6403 0.9921 0.3044 1
Te7 0.6956 0.4368 0.3597 1
Te8 0.9921 0.6403 0.5632 1
```

Largest 8 diffraction maxima, by angle, 2θ = 10–80°:
- 21.44°, I = 38
- 23.44°, I = 100
- 26.68°, I = 29
- 27.02°, I = 97
- 32.60°, I = 54
- 39.87°, I = 28
- 42.62°, I = 33
- 43.13°, I = 39

Entry 5:
For NaNi4P2, a structure optimized by DFT (PBE) gives the simulated PXRD pattern in this record (Cu Ka).

Atomic structure:
```
data_NaNi4P2
_chemical_formula_sum 'Na2 Ni8 P4'
_symmetry_space_group_name_H-M 'P 1'
_symmetry_Int_Tables_number 1
_symmetry_space_group_name_Hall 'P 1'
_cell_length_a 7.0999
_cell_length_b 7.0999
_cell_length_c 3.5092
_cell_angle_alpha 90.00
_cell_angle_beta 90.00
_cell_angle_gamma 90.00
loop_
_atom_site_label
_atom_site_fract_x
_atom_site_fract_y
_atom_site_fract_z
_atom_site_occupancy
Na1 0.0000 0.0000 0.0000 1
Na2 0.5000 0.5000 0.5000 1
Ni1 0.0786 0.3318 0.5000 1
Ni2 0.1682 0.5786 0.0000 1
Ni3 0.3318 0.0786 0.5000 1
Ni4 0.4214 0.8318 0.0000 1
Ni5 0.5786 0.1682 0.0000 1
Ni6 0.6682 0.9214 0.5000 1
Ni7 0.8318 0.4214 0.0000 1
Ni8 0.9214 0.6682 0.5000 1
P1 0.2283 0.7717 0.5000 1
P2 0.2717 0.2717 0.0000 1
P3 0.7283 0.7283 0.0000 1
P4 0.7717 0.2283 0.5000 1
```

Largest 8 diffraction maxima, by angle, 2θ = 10–80°:
- 17.67°, I = 85
- 38.23°, I = 100
- 40.16°, I = 46
- 44.37°, I = 72
- 48.11°, I = 85
- 52.13°, I = 36
- 53.19°, I = 41
- 77.70°, I = 25

Entry 6:
For Sr2ZnCd3Ge4, a structure optimized by DFT (PBE) gives the simulated PXRD pattern in this record (Cu Ka).

Atomic structure:
```
data_Sr2ZnCd3Ge4
_chemical_formula_sum 'Sr2 Zn1 Cd3 Ge4'
_symmetry_space_group_name_H-M 'P 1'
_symmetry_Int_Tables_number 1
_symmetry_space_group_name_Hall 'P 1'
_cell_length_a 4.5619
_cell_length_b 4.5619
_cell_length_c 11.4788
_cell_angle_alpha 90.00
_cell_angle_beta 90.00
_cell_angle_gamma 90.00
loop_
_atom_site_label
_atom_site_fract_x
_atom_site_fract_y
_atom_site_fract_z
_atom_site_occupancy
Sr1 0.0000 0.5000 0.2448 1
Sr2 0.5000 0.0000 0.7552 1
Zn1 0.5000 0.5000 0.0000 1
Cd1 0.0000 0.0000 0.0000 1
Cd2 0.0000 0.5000 0.6377 1
Cd3 0.5000 0.0000 0.3623 1
Ge1 0.0000 0.0000 0.5000 1
Ge2 0.0000 0.5000 0.8690 1
Ge3 0.5000 0.0000 0.1310 1
Ge4 0.5000 0.5000 0.5000 1
```

Largest 8 diffraction maxima, by angle, 2θ = 10–80°:
- 30.49°, I = 54
- 31.82°, I = 100
- 39.51°, I = 70
- 42.15°, I = 41
- 44.16°, I = 33
- 50.71°, I = 26
- 57.11°, I = 23
- 60.73°, I = 25

Entry 7:
For NdTl2PbSe4, a structure optimized by DFT (PBE) gives the simulated PXRD pattern in this record (Cu Ka).

Atomic structure:
```
data_NdTl2PbSe4
_chemical_formula_sum 'Nd1 Tl2 Pb1 Se4'
_symmetry_space_group_name_H-M 'P 1'
_symmetry_Int_Tables_number 1
_symmetry_space_group_name_Hall 'P 1'
_cell_length_a 7.6517
_cell_length_b 4.3296
_cell_length_c 7.8213
_cell_angle_alpha 90.00
_cell_angle_beta 109.46
_cell_angle_gamma 90.00
loop_
_atom_site_label
_atom_site_fract_x
_atom_site_fract_y
_atom_site_fract_z
_atom_site_occupancy
Nd1 0.0000 0.0000 0.0000 1
Tl1 0.0000 0.5000 0.5000 1
Tl2 0.5000 0.0000 0.5000 1
Pb1 0.5000 0.5000 0.0000 1
Se1 0.2317 0.5000 0.2217 1
Se2 0.2428 0.0000 0.7683 1
Se3 0.7572 0.0000 0.2317 1
Se4 0.7683 0.5000 0.7783 1
```

Largest 8 diffraction maxima, by angle, 2θ = 10–80°:
- 24.94°, I = 23
- 28.26°, I = 52
- 28.72°, I = 100
- 40.39°, I = 58
- 41.07°, I = 38
- 41.72°, I = 19
- 51.16°, I = 20
- 74.37°, I = 16

Entry 8:
For BaSb2As, a structure optimized by DFT (PBE) gives the simulated PXRD pattern in this record (Cu Ka).

Atomic structure:
```
data_BaSb2As
_chemical_formula_sum 'Ba1 Sb2 As1'
_symmetry_space_group_name_H-M 'P 1'
_symmetry_Int_Tables_number 1
_symmetry_space_group_name_Hall 'P 1'
_cell_length_a 5.0756
_cell_length_b 4.5523
_cell_length_c 6.1022
_cell_angle_alpha 90.00
_cell_angle_beta 103.42
_cell_angle_gamma 90.00
loop_
_atom_site_label
_atom_site_fract_x
_atom_site_fract_y
_atom_site_fract_z
_atom_site_occupancy
Ba1 0.0000 0.0000 0.0000 1
Sb1 0.3533 0.5000 0.6727 1
Sb2 0.5805 0.0000 0.4446 1
As1 0.5613 0.5000 0.1169 1
```

Largest 8 diffraction maxima, by angle, 2θ = 10–80°:
- 17.97°, I = 16
- 26.02°, I = 50
- 26.64°, I = 37
- 28.48°, I = 100
- 36.02°, I = 19
- 36.13°, I = 54
- 39.59°, I = 29
- 47.99°, I = 19

Entry 9:
For LiCd6Rh5, a structure optimized by DFT (PBE) gives the simulated PXRD pattern in this record (Cu Ka).

Atomic structure:
```
data_LiCd6Rh5
_chemical_formula_sum 'Li1 Cd6 Rh5'
_symmetry_space_group_name_H-M 'P 1'
_symmetry_Int_Tables_number 1
_symmetry_space_group_name_Hall 'P 1'
_cell_length_a 7.9150
_cell_length_b 7.9150
_cell_length_c 7.9150
_cell_angle_alpha 146.49
_cell_angle_beta 131.69
_cell_angle_gamma 60.07
loop_
_atom_site_label
_atom_site_fract_x
_atom_site_fract_y
_atom_site_fract_z
_atom_site_occupancy
Li1 0.0000 0.0000 0.0000 1
Cd1 0.0820 0.8322 0.2498 1
Cd2 0.2497 0.5000 0.7497 1
Cd3 0.4176 0.1678 0.2498 1
Cd4 0.5824 0.8322 0.7502 1
Cd5 0.7503 0.5000 0.2503 1
Cd6 0.9180 0.1678 0.7502 1
Rh1 0.1641 0.6641 0.5000 1
Rh2 0.3358 0.3358 0.0000 1
Rh3 0.5000 0.0000 0.5000 1
Rh4 0.6642 0.6642 0.0000 1
Rh5 0.8359 0.3359 0.5000 1
```

Largest 8 diffraction maxima, by angle, 2θ = 10–80°:
- 15.13°, I = 2
- 23.84°, I = 2
- 27.60°, I = 2
- 39.43°, I = 100
- 56.86°, I = 6
- 57.06°, I = 11
- 71.42°, I = 11
- 71.55°, I = 22

Entry 10:
For Cs3TlCu2Cl8, a structure optimized by DFT (PBE) gives the simulated PXRD pattern in this record (Cu Ka).

Atomic structure:
```
data_Cs3TlCu2Cl8
_chemical_formula_sum 'Cs3 Tl1 Cu2 Cl8'
_symmetry_space_group_name_H-M 'P 1'
_symmetry_Int_Tables_number 1
_symmetry_space_group_name_Hall 'P 1'
_cell_length_a 7.4911
_cell_length_b 7.4911
_cell_length_c 9.6957
_cell_angle_alpha 90.00
_cell_angle_beta 90.00
_cell_angle_gamma 120.00
loop_
_atom_site_label
_atom_site_fract_x
_atom_site_fract_y
_atom_site_fract_z
_atom_site_occupancy
Cs1 0.0000 0.0000 0.0000 1
Cs2 0.3333 0.6667 0.6458 1
Cs3 0.6667 0.3333 0.3542 1
Tl1 0.0000 0.0000 0.5000 1
Cu1 0.3333 0.6667 0.2170 1
Cu2 0.6667 0.3333 0.7830 1
Cl1 0.1723 0.3447 0.3235 1
Cl2 0.1723 0.8277 0.3235 1
Cl3 0.3333 0.6667 0.9921 1
Cl4 0.3447 0.1723 0.6765 1
Cl5 0.6553 0.8277 0.3235 1
Cl6 0.6667 0.3333 0.0079 1
Cl7 0.8277 0.1723 0.6765 1
Cl8 0.8277 0.6553 0.6765 1
```

Largest 8 diffraction maxima, by angle, 2θ = 10–80°:
- 22.90°, I = 73
- 23.76°, I = 100
- 33.23°, I = 59
- 41.26°, I = 31
- 41.77°, I = 22
- 46.79°, I = 18
- 48.62°, I = 26
- 54.39°, I = 15

Entry 11:
For NpTlS2Cl, a structure optimized by DFT (PBE) gives the simulated PXRD pattern in this record (Cu Ka).

Atomic structure:
```
data_NpTlS2Cl
_chemical_formula_sum 'Np2 Tl2 S4 Cl2'
_symmetry_space_group_name_H-M 'P 1'
_symmetry_Int_Tables_number 1
_symmetry_space_group_name_Hall 'P 1'
_cell_length_a 8.6490
_cell_length_b 3.9892
_cell_length_c 8.9507
_cell_angle_alpha 90.00
_cell_angle_beta 103.92
_cell_angle_gamma 90.00
loop_
_atom_site_label
_atom_site_fract_x
_atom_site_fract_y
_atom_site_fract_z
_atom_site_occupancy
Np1 0.1685 0.2500 0.1597 1
Np2 0.8315 0.7500 0.8403 1
Tl1 0.3256 0.7500 0.7639 1
Tl2 0.6744 0.2500 0.2361 1
S1 0.0461 0.2500 0.8510 1
S2 0.3618 0.7500 0.1324 1
S3 0.6382 0.2500 0.8676 1
S4 0.9539 0.7500 0.1490 1
Cl1 0.2472 0.2500 0.4575 1
Cl2 0.7528 0.7500 0.5425 1
```

Largest 8 diffraction maxima, by angle, 2θ = 10–80°:
- 10.18°, I = 36
- 20.44°, I = 26
- 21.17°, I = 42
- 24.56°, I = 55
- 25.71°, I = 36
- 30.92°, I = 100
- 40.25°, I = 39
- 49.06°, I = 20

Entry 12:
For Cd3As2Cl, a structure optimized by DFT (PBE) gives the simulated PXRD pattern in this record (Cu Ka).

Atomic structure:
```
data_Cd3As2Cl
_chemical_formula_sum 'Cd6 As4 Cl2'
_symmetry_space_group_name_H-M 'P 1'
_symmetry_Int_Tables_number 1
_symmetry_space_group_name_Hall 'P 1'
_cell_length_a 7.6921
_cell_length_b 7.6921
_cell_length_c 7.6111
_cell_angle_alpha 102.03
_cell_angle_beta 102.03
_cell_angle_gamma 119.44
loop_
_atom_site_label
_atom_site_fract_x
_atom_site_fract_y
_atom_site_fract_z
_atom_site_occupancy
Cd1 0.0921 0.9079 0.5000 1
Cd2 0.2956 0.7609 0.0164 1
Cd3 0.4583 0.6418 0.5156 1
Cd4 0.6418 0.4583 0.0156 1
Cd5 0.7609 0.2956 0.5164 1
Cd6 0.9079 0.0921 0.0000 1
As1 0.3965 0.9096 0.3967 1
As2 0.5627 0.7122 0.8863 1
As3 0.7122 0.5627 0.3863 1
As4 0.9096 0.3965 0.8967 1
Cl1 0.0625 0.2327 0.3971 1
Cl2 0.2327 0.0625 0.8971 1
```

Largest 8 diffraction maxima, by angle, 2θ = 10–80°:
- 24.37°, I = 100
- 25.22°, I = 52
- 25.71°, I = 52
- 40.50°, I = 46
- 40.75°, I = 22
- 41.14°, I = 48
- 43.50°, I = 20
- 46.93°, I = 20

Entry 13:
For CsBeTe, a structure optimized by DFT (PBE) gives the simulated PXRD pattern in this record (Cu Ka).

Atomic structure:
```
data_CsBeTe
_chemical_formula_sum 'Cs2 Be2 Te2'
_symmetry_space_group_name_H-M 'P 1'
_symmetry_Int_Tables_number 1
_symmetry_space_group_name_Hall 'P 1'
_cell_length_a 9.1648
_cell_length_b 9.1648
_cell_length_c 9.1648
_cell_angle_alpha 147.53
_cell_angle_beta 142.86
_cell_angle_gamma 50.15
loop_
_atom_site_label
_atom_site_fract_x
_atom_site_fract_y
_atom_site_fract_z
_atom_site_occupancy
Cs1 0.1446 0.1446 0.0000 1
Cs2 0.8554 0.8554 0.0000 1
Be1 0.5000 0.2146 0.7146 1
Be2 0.5000 0.7854 0.2854 1
Te1 0.3823 0.3823 0.0000 1
Te2 0.6177 0.6177 0.0000 1
```

Largest 8 diffraction maxima, by angle, 2θ = 10–80°:
- 21.41°, I = 50
- 23.09°, I = 100
- 30.63°, I = 26
- 31.69°, I = 79
- 37.68°, I = 23
- 41.41°, I = 19
- 52.38°, I = 19
- 55.12°, I = 18